No. 1
Simulated powder diffractogram of NaNiO2 for Cu Kα, 1.54184 Å, from a structure optimized by DFT (PBE+U).

```
data_NaNiO2
_chemical_formula_sum 'Na4 Ni4 O8'
_symmetry_space_group_name_H-M 'P -1'
_symmetry_Int_Tables_number 2
_cell_length_a 3.039
_cell_length_b 5.057
_cell_length_c 11.018
_cell_angle_alpha 102.72
_cell_angle_beta 96.31
_cell_angle_gamma 92.28
loop_
_symmetry_equiv_pos_as_xyz
'x,y,z'
'-x,-y,-z'
loop_
_atom_site_label
_atom_site_fract_x
_atom_site_fract_y
_atom_site_fract_z
Na1 0.097 0.471 0.250
Na2 0.376 0.030 0.750
Ni1 0.000 0.000 0.000
Ni2 0.250 0.250 0.500
Ni3 0.500 0.500 0.000
O1 0.080 0.729 0.097
O2 0.168 0.882 0.402
O3 0.334 0.618 0.598
O4 0.494 0.229 0.098
```

Largest 8 diffraction maxima, in order of rising 2θ, 2θ from 10° to 90°:
two_theta	intensity
16.6	100
33.6	25
37.7	28
38.1	25
38.8	21
39.4	37
39.5	18
64.3	18

No. 2
Simulated powder diffractogram of AlCr2O4 for Cu Kα, 1.54184 Å, from a structure optimized by DFT (PBE+U).

```
data_AlCr2O4
_chemical_formula_sum 'Al4 Cr8 O16'
_symmetry_space_group_name_H-M 'C 1 2/c 1'
_symmetry_Int_Tables_number 15
_cell_length_a 7.541
_cell_length_b 10.435
_cell_length_c 5.345
_cell_angle_alpha 90.00
_cell_angle_beta 134.69
_cell_angle_gamma 90.00
loop_
_symmetry_equiv_pos_as_xyz
'x,y,z'
'-x,-y,-z'
'-x,y,-z+1/2'
'x,-y,z+1/2'
'x+1/2,y+1/2,z'
'-x+1/2,-y+1/2,-z'
'-x+1/2,y+1/2,-z+1/2'
'x+1/2,-y+1/2,z+1/2'
loop_
_atom_site_label
_atom_site_fract_x
_atom_site_fract_y
_atom_site_fract_z
Al1 0.000 0.121 0.250
Cr1 0.000 0.500 0.000
Cr2 0.250 0.250 0.000
O1 0.184 0.094 0.728
O2 0.208 0.345 0.645
```

Largest 8 diffraction maxima, in order of rising 2θ, 2θ from 10° to 90°:
two_theta	intensity
18.6	42
30.7	68
37.8	100
38.5	41
38.7	39
46.7	32
60.3	24
60.6	23